1.
# TcNi2Pt8
Simulated powder XRD pattern, Cu Kα. Input: a structure optimized by DFT (GGA-PBE).
Lines closer than 0.1° are merged.

Peak list (8 most intense, 10° ≤ 2θ ≤ 90°, in order of rising 2θ)
Position (°2θ)	d_spacing	Rel. int.
40.84	2.209	100
45.86	1.979	18
46.77	1.942	18
49.86	1.829	12
67.58	1.386	12
81.41	1.182	13
82.74	1.166	13
88.51	1.105	10

Structural model:
```
TcNi2Pt8
1.0
-1.9422 3.6580 5.9367
1.9422 -3.6580 5.9367
1.9422 3.6580 -5.9367
Tc Ni Pt
1 2 8
direct
0.0000 0.0000 0.0000
0.3280 0.3280 0.0000
0.6720 0.6720 0.0000
0.1030 0.8374 0.2657
0.1588 0.6588 0.5000
0.2786 0.5000 0.7786
0.4283 0.1626 0.2657
0.5717 0.8374 0.7343
0.7214 0.5000 0.2214
0.8412 0.3412 0.5000
0.8970 0.1626 0.7343
```

***

2.
# TcNi5Pt6
Simulated powder XRD pattern, Cu Kα. Input: a structure optimized by DFT (GGA-PBE).
Lines closer than 0.1° are merged.

Peak list (8 most intense, 10° ≤ 2θ ≤ 90°, in order of rising 2θ)
Position (°2θ)	d_spacing	Rel. int.
24.02	3.706	21
32.97	2.717	19
41.20	2.191	100
47.23	1.924	17
47.40	1.918	17
49.17	1.853	15
83.66	1.156	13
83.91	1.153	13

Structural model:
```
TcNi5Pt6
1.0
-1.9180 3.7056 5.7728
1.9180 -3.7056 5.7728
1.9180 3.7056 -5.7728
Tc Ni Pt
1 5 6
direct
0.0000 0.0000 0.0000
0.1600 0.6600 0.5000
0.3317 0.3317 0.0000
0.5000 0.0000 0.5000
0.6683 0.6683 0.0000
0.8400 0.3400 0.5000
0.0853 0.8324 0.2529
0.2551 0.5000 0.7551
0.4204 0.1676 0.2529
0.5796 0.8324 0.7471
0.7449 0.5000 0.2449
0.9147 0.1676 0.7471
```